Simulated powder diffraction line list of Sr8Tl2Rh for λ = 1.5418 Å (Cu Kα), from a cell relaxed with GGA-PBE.
Lines closer than 0.1° are merged.

The 6 most intense peaks (2θ from 10° to 80°), in order of rising 2θ:
4.799 Å, 2θ = 18.49°, I = 23; 4.633 Å, 2θ = 19.16°, I = 14; 3.058 Å, 2θ = 29.20°, I = 18; 2.992 Å, 2θ = 29.87°, I = 100; 2.772 Å, 2θ = 32.30°, I = 32; 1.640 Å, 2θ = 56.08°, I = 20

Structure:
```
Sr8Tl2Rh
1.0
-2.7720 4.7962 7.9361
2.7720 -4.7962 7.9361
2.7720 4.7962 -7.9361
Sr Tl Rh
8 2 1
Direct
0.1156 0.3427 0.7729
0.1231 0.1231 0.0000
0.3239 0.0000 0.3239
0.4301 0.6573 0.7729
0.5699 0.3427 0.2271
0.6761 0.0000 0.6761
0.8769 0.8769 0.0000
0.8844 0.6573 0.2271
0.3103 0.8103 0.5000
0.6897 0.1897 0.5000
0.0000 0.5000 0.5000
```

---

Simulated powder diffraction line list of DyPuPd14 for λ = 1.5418 Å (Cu Kα), from a cell relaxed with GGA-PBE.
Lines closer than 0.1° are merged.

The 6 most intense peaks (2θ from 10° to 80°), in order of rising 2θ:
2.334 Å, 2θ = 38.58°, I = 100; 2.048 Å, 2θ = 44.23°, I = 34; 1.971 Å, 2θ = 46.06°, I = 15; 1.448 Å, 2θ = 64.34°, I = 11; 1.420 Å, 2θ = 65.76°, I = 20; 1.230 Å, 2θ = 77.59°, I = 25

Structure:
```
DyPuPd14
1.0
5.7921 0.0000 0.0000
0.0000 5.7921 0.0000
0.0000 0.0000 7.8829
Dy Pu Pd
1 1 14
Direct
0.0000 0.0000 0.0000
0.5000 0.5000 0.0000
0.0000 0.0000 0.5000
0.0000 0.5000 0.0000
0.0000 0.5000 0.5000
0.2508 0.2508 0.2571
0.2508 0.2508 0.7429
0.2508 0.7492 0.2571
0.2508 0.7492 0.7429
0.5000 0.0000 0.0000
0.5000 0.0000 0.5000
0.5000 0.5000 0.5000
0.7492 0.2508 0.2571
0.7492 0.2508 0.7429
0.7492 0.7492 0.2571
0.7492 0.7492 0.7429
```

---

Simulated powder diffraction line list of Sm6DyS8 for λ = 1.5418 Å (Cu Kα), from a cell relaxed with GGA-PBE.
Lines closer than 0.1° are merged.

The 6 most intense peaks (2θ from 10° to 80°), in order of rising 2θ:
3.263 Å, 2θ = 27.33°, I = 68; 2.826 Å, 2θ = 31.67°, I = 100; 1.998 Å, 2θ = 45.39°, I = 72; 1.704 Å, 2θ = 53.80°, I = 34; 1.631 Å, 2θ = 56.40°, I = 25; 1.264 Å, 2θ = 75.19°, I = 32

Structure:
```
Sm6DyS8
1.0
0.0000 5.6512 5.6512
5.6512 0.0000 5.6512
5.6512 5.6512 0.0000
Sm Dy S
6 1 8
Direct
0.0000 0.0000 0.5000
0.0000 0.5000 0.0000
0.0000 0.5000 0.5000
0.5000 0.0000 0.0000
0.5000 0.0000 0.5000
0.5000 0.5000 0.0000
0.0000 0.0000 0.0000
0.2457 0.2457 0.7543
0.2457 0.7543 0.2457
0.2457 0.7543 0.7543
0.2500 0.2500 0.2500
0.7500 0.7500 0.7500
0.7543 0.2457 0.2457
0.7543 0.2457 0.7543
0.7543 0.7543 0.2457
```

---

Simulated powder diffraction line list of ErSiO3 for λ = 1.5418 Å (Cu Kα), from a cell relaxed with GGA-PBE.
Lines closer than 0.1° are merged.

The 6 most intense peaks (2θ from 10° to 80°), in order of rising 2θ:
5.275 Å, 2θ = 16.81°, I = 70; 2.959 Å, 2θ = 30.20°, I = 100; 2.856 Å, 2θ = 31.32°, I = 50; 2.318 Å, 2θ = 38.85°, I = 43; 1.865 Å, 2θ = 48.84°, I = 38; 1.741 Å, 2θ = 52.56°, I = 25

Structure:
```
ErSiO3
1.0
1.7296 -5.2753 0.0000
1.7296 5.2753 0.0000
0.0000 0.0000 6.7935
Er Si O
2 2 6
Direct
0.2351 0.7649 0.7500
0.7649 0.2351 0.2500
0.5000 0.5000 0.0000
0.5000 0.5000 0.5000
0.3400 0.6600 0.0580
0.3400 0.6600 0.4420
0.4500 0.5500 0.7500
0.5500 0.4500 0.2500
0.6600 0.3400 0.5580
0.6600 0.3400 0.9420
```

---

Simulated powder diffraction line list of Y6ReO12 for λ = 1.5418 Å (Cu Kα), from a cell relaxed with GGA-PBE.
Lines closer than 0.1° are merged.

The 6 most intense peaks (2θ from 10° to 80°), in order of rising 2θ:
3.133 Å, 2θ = 28.49°, I = 30; 3.053 Å, 2θ = 29.25°, I = 100; 2.661 Å, 2θ = 33.68°, I = 36; 1.900 Å, 2θ = 47.88°, I = 30; 1.864 Å, 2θ = 48.87°, I = 29; 1.602 Å, 2θ = 57.54°, I = 24

Structure:
```
Y6ReO12
1.0
4.9309 2.8468 3.1332
-4.9309 2.8468 3.1332
0.0000 -5.6937 3.1332
Y Re O
6 1 12
Direct
0.1100 0.6437 0.8147
0.1853 0.8900 0.3563
0.3563 0.1853 0.8900
0.6437 0.8147 0.1100
0.8147 0.1100 0.6437
0.8900 0.3563 0.1853
0.5000 0.5000 0.5000
0.0678 0.3230 0.9084
0.0916 0.9322 0.6770
0.2053 0.5356 0.4252
0.3230 0.9084 0.0678
0.4252 0.2053 0.5356
0.4644 0.5748 0.7947
0.5356 0.4252 0.2053
0.5748 0.7947 0.4644
0.6770 0.0916 0.9322
0.7947 0.4644 0.5748
0.9084 0.0678 0.3230
0.9322 0.6770 0.0916
```

---

Simulated powder diffraction line list of Y3Sb5 for λ = 1.5418 Å (Cu Kα), from a cell relaxed with GGA-PBE.
Lines closer than 0.1° are merged.

The 6 most intense peaks (2θ from 10° to 80°), in order of rising 2θ:
2.868 Å, 2θ = 31.19°, I = 35; 2.713 Å, 2θ = 33.01°, I = 100; 2.405 Å, 2θ = 37.40°, I = 17; 1.843 Å, 2θ = 49.47°, I = 15; 1.624 Å, 2θ = 56.67°, I = 21; 1.441 Å, 2θ = 64.69°, I = 9

Structure:
```
Y3Sb5
1.0
4.0102 -4.8094 0.0000
4.0102 4.8094 0.0000
0.0000 0.0000 5.7352
Y Sb
3 5
Direct
0.0000 0.0000 0.0000
0.2886 0.7114 0.5000
0.7114 0.2886 0.5000
0.0000 0.5000 0.0000
0.1970 0.1970 0.5000
0.5000 0.0000 0.0000
0.5000 0.5000 0.0000
0.8030 0.8030 0.5000
```

---

Simulated powder diffraction line list of Hg7Br for λ = 1.5418 Å (Cu Kα), from a cell relaxed with GGA-PBE.
Lines closer than 0.1° are merged.

The 6 most intense peaks (2θ from 10° to 80°), in order of rising 2θ:
2.748 Å, 2θ = 32.58°, I = 100; 2.679 Å, 2θ = 33.44°, I = 47; 1.895 Å, 2θ = 48.02°, I = 17; 1.601 Å, 2θ = 57.58°, I = 20; 1.560 Å, 2θ = 59.24°, I = 37; 1.374 Å, 2θ = 68.25°, I = 12

Structure:
```
Hg7Br
1.0
-2.6793 2.6793 7.9848
2.6793 -2.6793 7.9848
2.6793 2.6793 -7.9848
Hg Br
7 1
Direct
0.0000 0.0000 0.0000
0.1292 0.6292 0.5000
0.2485 0.2485 0.0000
0.3708 0.8708 0.5000
0.6292 0.1292 0.5000
0.7515 0.7515 0.0000
0.8708 0.3708 0.5000
0.5000 0.5000 0.0000
```

---

Simulated powder diffraction line list of Ga6Pd5 for λ = 1.5418 Å (Cu Kα), from a cell relaxed with GGA-PBE.
Lines closer than 0.1° are merged.

The 6 most intense peaks (2θ from 10° to 80°), in order of rising 2θ:
2.182 Å, 2θ = 41.38°, I = 100; 2.170 Å, 2θ = 41.62°, I = 25; 2.143 Å, 2θ = 42.16°, I = 23; 1.525 Å, 2θ = 60.74°, I = 16; 1.255 Å, 2θ = 75.79°, I = 16; 1.245 Å, 2θ = 76.54°, I = 15

Structure:
```
Ga6Pd5
1.0
-2.1701 3.1230 6.4298
2.1701 -3.1230 6.4298
2.1701 3.1230 -6.4298
Ga Pd
6 5
Direct
0.0816 0.3411 0.7405
0.2302 0.0000 0.2302
0.3995 0.6589 0.7405
0.6005 0.3411 0.2595
0.7698 0.0000 0.7698
0.9184 0.6589 0.2595
0.1704 0.1704 0.0000
0.3322 0.8322 0.5000
0.5000 0.5000 0.0000
0.6678 0.1678 0.5000
0.8296 0.8296 0.0000
```